Starting from a crystal structure in Alexandria, relaxed with GGA-PBE, the X-ray diffraction stick pattern of CrHgC3 was simulated for copper Kα.

Main lines, in order of rising 2θ (2θ from 10° to 90°):
| Position (°2θ) | d [Å] | Rel. int. | (hkl) |
| --- | --- | --- | --- |
| 22.6 | 3.928 | 34.5 | 1 0 0 |
| 32.2 | 2.778 | 100.0 | 1 1 0 |
| 39.7 | 2.268 | 20.2 | 1 1 1 |
| 46.2 | 1.964 | 24.6 | 2 0 0 |
| 52.1 | 1.757 | 17.9 | 2 1 0 |
| 57.5 | 1.604 | 38.9 | 2 1 1 |
| 67.4 | 1.389 | 15.3 | 2 2 0 |
| 72.1 | 1.309 | 9.2 | 3 0 0 |
| 76.7 | 1.242 | 16.8 | 3 1 0 |
| 81.2 | 1.184 | 8.0 | 3 1 1 |

Cell: 3.928 3.928 3.928 Å, 90.00 90.00 90.00°
Space group Pm-3m (No. 221)
Symmetry-distinct sites (fractional):
Cr 0.000 0.000 0.000 x1
Hg 0.500 0.500 0.500 x1
C 0.000 0.000 0.500 x3